Calculated powder diffraction line list
Compound: Na2AgAuCl6
Radiation: Cu Kα, 1.54184 Å
Structure: a crystal structure in the Materials Project, relaxed with GGA-PBE
Kinematic intensities with the Lorentz-polarization factor, no thermal factor.

Unit cell a=10.1934 b=10.1934 c=10.1934 alpha=90.00 beta=90.00 gamma=90.00
Space group Fm-3m (No. 225)
Symmetry-distinct sites (fractional):
Na 0.2500 0.2500 0.2500 x8
Ag 0.0000 0.0000 0.0000 x4
Au 0.0000 0.0000 0.5000 x4
Cl 0.0000 0.0000 0.2521 x24

Peak list (12 most intense, 2θ from 15° to 90°, sorted by position)
h k l, 2θ (°), d/Å, Rel. int.
1 1 1, 15.05, 5.885, 11
2 0 0, 17.40, 5.097, 100
2 2 0, 24.70, 3.604, 62
4 0 0, 35.22, 2.548, 51
4 2 0, 39.54, 2.279, 50
4 2 2, 43.49, 2.081, 29
4 4 0, 50.66, 1.802, 34
6 0 0, 53.97, 1.699, 24
6 2 0, 57.15, 1.612, 13
6 4 2, 68.94, 1.362, 15
6 4 4, 77.17, 1.236, 14
8 4 0, 85.13, 1.140, 15